ReIrOs6: theoretical powder diffractogram (Cu Kα, 1.54184 Å), based on a PBE-relaxed structure.

Structural model:
Cell: 5.5118 5.5118 4.3517 Å, 90.00 90.00 120.00°
Space group P-6m2 (No. 187)
One atom of each set of equivalent atoms:
Re 0.0000 0.0000 0.0000 (multiplicity 1)
Ir 0.6667 0.3333 0.5000 (multiplicity 1)
Os 0.1684 0.3368 0.5000 (multiplicity 3)
Os 0.5014 0.0027 0.0000 (multiplicity 3)

Principal peaks in the range 2θ = 10–90°, by angle:
two_theta, d [Å], I/Imax, (hkl)
37.69, 2.387, 24, 2 0 0
41.50, 2.176, 25, 0 0 2
43.23, 2.093, 100, 2 0 1
57.30, 1.608, 15, 2 0 2
68.04, 1.378, 18, 2 2 0
76.91, 1.240, 19, 2 0 3
80.48, 1.193, 3, 4 0 0
82.94, 1.164, 21, 2 2 2
84.11, 1.151, 15, 4 0 1